The following is a theoretical PXRD pattern of Pm2HfPd. It was derived from a crystal structure in Alexandria, relaxed with PBE, using Cu Kα (weighted mean of Kα1 and Kα2).
No peak broadening, texture or thermal motion is included.

Structural model:
```
Pm2HfPd
1.0
3.580 0.000 0.000
0.000 3.580 0.000
0.000 0.000 7.985
Pm Hf Pd
2 1 1
Direct
0.000 0.000 0.222
0.000 0.000 0.778
0.500 0.500 0.500
0.500 0.500 0.000
```

The 10 most intense peaks (15 to 90 degrees two-theta), low angle first:
2θ (°)	Rel. int.
27.30	7.2
33.63	100.0
35.47	44.5
45.43	8.6
51.03	15.8
58.91	17.7
62.51	34.6
70.69	9.2
84.81	8.0
85.85	7.2


The following is a theoretical PXRD pattern of Hf2Pd8Pt. It was derived from a crystal structure in Alexandria, relaxed with PBE, using Cu Kα (weighted mean of Kα1 and Kα2).
No peak broadening, texture or thermal motion is included.

Structural model:
```
Hf2Pd8Pt
1.0
7.114 -2.050 0.000
7.114 2.050 0.000
-2.054 0.000 6.147
Hf Pd Pt
2 8 1
Direct
0.217 0.217 0.163
0.783 0.783 0.837
0.042 0.042 0.231
0.146 0.146 0.701
0.324 0.324 0.595
0.404 0.404 0.055
0.596 0.596 0.945
0.676 0.676 0.405
0.854 0.854 0.299
0.958 0.958 0.769
0.500 0.500 0.500
```

The 10 most intense peaks (15 to 90 degrees two-theta), low angle first:
2θ (°)	Rel. int.
25.79	11.8
38.73	95.9
38.85	100.0
43.83	31.0
44.18	37.4
47.23	27.7
63.98	21.1
66.65	19.5
77.65	25.6
82.20	10.4